Entry 1:
For AlCd2CoI, the PBE geometry in Alexandria gives the calculated XRD peak list in this record (Cu Kα, 1.54184 Å).
Kinematic intensities with the Lorentz-polarization factor, no thermal factor.

Peak list (10 most intense, 2θ from 15° to 90°, by intensity)
2θ = 30.55°, I 100; 2θ = 43.35°, I 75; 2θ = 21.29°, I 64; 2θ = 26.22°, I 57; 2θ = 34.14°, I 53; 2θ = 30.01°, I 52; 2θ = 53.96°, I 38; 2θ = 43.75°, I 36; 2θ = 37.54°, I 30; 2θ = 80.10°, I 23

Structure:
Cell: 5.852 5.852 5.956 Å, 90.00 90.00 90.00°
Fractional positions:
Al 0.000 0.000 0.000
Cd 0.000 0.500 0.500
Cd 0.500 0.000 0.500
Co 0.500 0.500 0.000
I 0.000 0.000 0.500

***

Entry 2:
For AlCdCoS2, the PBE geometry in Alexandria gives the calculated XRD peak list in this record (Cu Kα, 1.54184 Å).
Kinematic intensities with the Lorentz-polarization factor, no thermal factor.

Peak list (10 most intense, 2θ from 15° to 90°, by intensity)
2θ = 27.90°, I 100; 2θ = 39.52°, I 62; 2θ = 34.25°, I 55; 2θ = 27.66°, I 42; 2θ = 49.07°, I 40; 2θ = 57.65°, I 38; 2θ = 40.21°, I 30; 2θ = 57.13°, I 20; 2θ = 72.16°, I 19; 2θ = 49.51°, I 17

Structure:
Cell: 4.560 4.560 4.485 Å, 90.00 90.00 90.00°
Fractional positions:
Al 0.000 0.000 0.000
Cd 0.500 0.500 0.000
Co 0.000 0.000 0.500
S 0.000 0.500 0.500
S 0.500 0.000 0.500

***

Entry 3:
For Cs2AlCdH6, the PBE geometry in Alexandria gives the calculated XRD peak list in this record (Cu Kα, 1.54184 Å).
Kinematic intensities with the Lorentz-polarization factor, no thermal factor.

Peak list (10 most intense, 2θ from 15° to 90°, by intensity)
2θ = 27.60°, I 100; 2θ = 31.37°, I 35; 2θ = 53.56°, I 31; 2θ = 46.28°, I 23; 2θ = 33.15°, I 16; 2θ = 55.90°, I 13; 2θ = 44.95°, I 13; 2θ = 17.58°, I 13; 2θ = 56.98°, I 13; 2θ = 74.43°, I 11

Structure:
Cell: 6.744 6.744 6.744 Å, 129.97 129.97 73.46°
Fractional positions:
Cs 0.000 0.500 0.500
Cs 0.500 0.000 0.500
Al 0.241 0.241 0.000
Cd 0.745 0.745 0.000
H 0.395 0.395 0.000
H 0.428 0.428 0.436
H 0.428 0.991 0.000
H 0.920 0.920 0.000
H 0.991 0.428 0.000
H 0.991 0.991 0.564

***

Entry 4:
For CsAl2CdH8, the PBE geometry in Alexandria gives the calculated XRD peak list in this record (Cu Kα, 1.54184 Å).
Kinematic intensities with the Lorentz-polarization factor, no thermal factor.

Peak list (10 most intense, 2θ from 15° to 90°, by intensity)
2θ = 24.20°, I 100; 2θ = 19.88°, I 59; 2θ = 31.84°, I 48; 2θ = 36.98°, I 31; 2θ = 40.39°, I 24; 2θ = 52.32°, I 23; 2θ = 40.13°, I 22; 2θ = 59.35°, I 15; 2θ = 60.14°, I 15; 2θ = 23.78°, I 14

Structure:
Cell: 8.156 8.156 8.156 Å, 40.32 40.32 40.32°
Fractional positions:
Cs 0.000 0.000 0.000
Al 0.244 0.244 0.244
Al 0.756 0.756 0.756
Cd 0.500 0.500 0.500
H 0.084 0.532 0.723
H 0.277 0.916 0.468
H 0.317 0.317 0.317
H 0.468 0.277 0.916
H 0.532 0.723 0.084
H 0.683 0.683 0.683
H 0.723 0.084 0.532
H 0.916 0.468 0.277

***

Entry 5:
For Al2Cd2Cu, the PBE geometry in Alexandria gives the calculated XRD peak list in this record (Cu Kα, 1.54184 Å).
Kinematic intensities with the Lorentz-polarization factor, no thermal factor.

Peak list (10 most intense, 2θ from 15° to 90°, by intensity)
2θ = 36.12°, I 100; 2θ = 21.43°, I 59; 2θ = 41.09°, I 37; 2θ = 28.74°, I 35; 2θ = 46.80°, I 27; 2θ = 61.49°, I 21; 2θ = 43.65°, I 19; 2θ = 77.49°, I 15; 2θ = 53.10°, I 12; 2θ = 59.19°, I 11

Structure:
Cell: 6.947 6.947 4.147 Å, 90.00 90.00 90.00°
Fractional positions:
Al 0.151 0.349 0.000
Al 0.349 0.849 0.000
Al 0.651 0.151 0.000
Al 0.849 0.651 0.000
Cd 0.154 0.654 0.500
Cd 0.346 0.154 0.500
Cd 0.654 0.846 0.500
Cd 0.846 0.346 0.500
Cu 0.000 0.000 0.500
Cu 0.500 0.500 0.500

***

Entry 6:
For Al2CdCuTe4, the PBE geometry in Alexandria gives the calculated XRD peak list in this record (Cu Kα, 1.54184 Å).
Kinematic intensities with the Lorentz-polarization factor, no thermal factor.

Peak list (10 most intense, 2θ from 15° to 90°, by intensity)
2θ = 25.34°, I 100; 2θ = 23.86°, I 91; 2θ = 41.29°, I 82; 2θ = 45.92°, I 38; 2θ = 37.64°, I 28; 2θ = 48.44°, I 25; 2θ = 41.51°, I 20; 2θ = 49.69°, I 19; 2θ = 57.26°, I 14; 2θ = 70.42°, I 14

Structure:
Cell: 7.641 7.381 6.464 Å, 66.62 62.45 50.94°
Fractional positions:
Al 0.000 0.000 0.500
Al 0.500 0.500 0.000
Cd 0.246 0.246 0.754
Cu 0.743 0.743 0.257
Te 0.094 0.628 0.372
Te 0.372 0.840 0.628
Te 0.628 0.094 0.906
Te 0.840 0.372 0.160

***

Entry 7:
For Dy7Al5Cd, the PBE geometry in Alexandria gives the calculated XRD peak list in this record (Cu Kα, 1.54184 Å).
Kinematic intensities with the Lorentz-polarization factor, no thermal factor.

Peak list (10 most intense, 2θ from 15° to 90°, by intensity)
2θ = 37.96°, I 100; 2θ = 35.12°, I 99; 2θ = 28.45°, I 96; 2θ = 30.66°, I 86; 2θ = 34.30°, I 53; 2θ = 24.62°, I 50; 2θ = 33.80°, I 45; 2θ = 28.98°, I 43; 2θ = 54.77°, I 38; 2θ = 63.23°, I 35

Structure:
Cell: 7.899 7.899 7.899 Å, 133.20 102.59 95.60°
Fractional positions:
Dy 0.000 0.000 0.000
Dy 0.272 0.587 0.685
Dy 0.362 0.362 0.000
Dy 0.410 0.081 0.330
Dy 0.751 0.081 0.670
Dy 0.830 0.330 0.500
Dy 0.902 0.587 0.315
Al 0.084 0.060 0.466
Al 0.084 0.618 0.024
Al 0.331 0.831 0.500
Al 0.594 0.060 0.976
Al 0.594 0.618 0.534
Cd 0.679 0.679 0.000

***

Entry 8:
For Dy4Al12Cd, the PBE geometry in Alexandria gives the calculated XRD peak list in this record (Cu Kα, 1.54184 Å).
Kinematic intensities with the Lorentz-polarization factor, no thermal factor.

Peak list (10 most intense, 2θ from 15° to 90°, by intensity)
2θ = 28.79°, I 100; 2θ = 35.46°, I 54; 2θ = 41.17°, I 43; 2θ = 20.25°, I 40; 2θ = 51.01°, I 35; 2θ = 59.64°, I 26; 2θ = 46.30°, I 25; 2θ = 82.26°, I 22; 2θ = 67.55°, I 22; 2θ = 71.33°, I 17

Structure:
Cell: 7.595 7.595 7.595 Å, 109.47 109.47 109.47°
Fractional positions:
Dy 0.000 0.000 0.500
Dy 0.000 0.500 0.000
Dy 0.500 0.000 0.000
Dy 0.500 0.500 0.500
Al 0.000 0.313 0.313
Al 0.000 0.687 0.687
Al 0.250 0.500 0.750
Al 0.250 0.750 0.500
Al 0.313 0.000 0.313
Al 0.313 0.313 0.000
Al 0.500 0.250 0.750
Al 0.500 0.750 0.250
Al 0.687 0.000 0.687
Al 0.687 0.687 0.000
Al 0.750 0.250 0.500
Al 0.750 0.500 0.250
Cd 0.000 0.000 0.000

***

What did the seventh record say?
For Dy7Al5Cd, the PBE geometry in Alexandria gives the calculated XRD peak list in this record (Cu Kα, 1.54184 Å).
Kinematic intensities with the Lorentz-polarization factor, no thermal factor.

Peak list (10 most intense, 2θ from 15° to 90°, by intensity)
2θ = 37.96°, I 100; 2θ = 35.12°, I 99; 2θ = 28.45°, I 96; 2θ = 30.66°, I 86; 2θ = 34.30°, I 53; 2θ = 24.62°, I 50; 2θ = 33.80°, I 45; 2θ = 28.98°, I 43; 2θ = 54.77°, I 38; 2θ = 63.23°, I 35

Structure:
Cell: 7.899 7.899 7.899 Å, 133.20 102.59 95.60°
Fractional positions:
Dy 0.000 0.000 0.000
Dy 0.272 0.587 0.685
Dy 0.362 0.362 0.000
Dy 0.410 0.081 0.330
Dy 0.751 0.081 0.670
Dy 0.830 0.330 0.500
Dy 0.902 0.587 0.315
Al 0.084 0.060 0.466
Al 0.084 0.618 0.024
Al 0.331 0.831 0.500
Al 0.594 0.060 0.976
Al 0.594 0.618 0.534
Cd 0.679 0.679 0.000